[1]
Rb2PtC4Br2N4: computed XRD peak list (CuKα), based on a crystal structure in Alexandria, relaxed with PBE.
Kinematic intensities with the Lorentz-polarization factor, no thermal factor.

Structure:
a = 7.4420 Å, b = 9.7519 Å, c = 9.1516 Å
α = 90.00°, β = 107.15°, γ = 90.00°
Space group P2_1/c (No. 14)
One atom of each set of equivalent atoms:
Rb (0.0151, 0.2148, 0.3817) (multiplicity 4)
Pt (0.5000, 0.0000, 0.0000) (multiplicity 2)
C (0.3039, 0.0365, 0.1076) (multiplicity 4)
C (0.3083, 0.0439, 0.7989) (multiplicity 4)
Br (0.4004, 0.7492, 0.4670) (multiplicity 4)
N (0.1865, 0.0599, 0.1656) (multiplicity 4)
N (0.1914, 0.0690, 0.6848) (multiplicity 4)

Peak list (10 most intense, 15 to 90 degrees two-theta, in order of rising 2θ)
| d_spacing | 2θ/deg | intensity |
| --- | --- | --- |
| 5.433 | 16.32 | 95 |
| 4.372 | 20.31 | 50 |
| 4.344 | 20.44 | 100 |
| 4.021 | 22.10 | 39 |
| 3.556 | 25.04 | 36 |
| 3.138 | 28.44 | 48 |
| 3.101 | 28.79 | 41 |
| 3.047 | 29.31 | 36 |
| 2.439 | 36.85 | 41 |
| 2.131 | 42.42 | 44 |

---

[2]
Rb2CBr6N: computed XRD peak list (CuKα), based on a crystal structure in Alexandria, relaxed with PBE.
Kinematic intensities with the Lorentz-polarization factor, no thermal factor.

Structure:
a = 6.8550 Å, b = 6.8550 Å, c = 11.1268 Å
α = 90.00°, β = 90.00°, γ = 90.00°
Space group I4/mmm (No. 139)
One atom of each set of equivalent atoms:
Rb (0.0000, 0.5000, 0.2500) (multiplicity 4)
C (0.0000, 0.0000, 0.0000) (multiplicity 2)
Br (0.0000, 0.0000, 0.2858) (multiplicity 4)
Br (0.2379, 0.2379, 0.0000) (multiplicity 8)
N (0.0000, 0.0000, 0.5000) (multiplicity 2)

Peak list (10 most intense, 15 to 90 degrees two-theta, in order of rising 2θ)
| d_spacing | 2θ/deg | intensity |
| --- | --- | --- |
| 3.262 | 27.34 | 5 |
| 2.918 | 30.64 | 100 |
| 2.782 | 32.18 | 22 |
| 2.424 | 37.09 | 36 |
| 1.827 | 49.91 | 24 |
| 1.714 | 53.47 | 12 |
| 1.631 | 56.41 | 12 |
| 1.478 | 62.89 | 24 |
| 1.459 | 63.79 | 11 |
| 1.181 | 81.46 | 8 |

---

[3]
Sm4CBr2N: computed XRD peak list (CuKα), based on a crystal structure in Alexandria, relaxed with PBE.
Kinematic intensities with the Lorentz-polarization factor, no thermal factor.

Structure:
a = 6.4466 Å, b = 3.7236 Å, c = 7.5893 Å
α = 90.00°, β = 106.58°, γ = 90.00°
Space group P2/m (No. 10)
One atom of each set of equivalent atoms:
Sm (0.2242, 0.0000, 0.1782) (multiplicity 2)
Sm (0.2701, 0.5000, 0.8199) (multiplicity 2)
C (0.5000, 0.0000, 0.0000) (multiplicity 1)
Br (0.0000, 0.0000, 0.5000) (multiplicity 1)
Br (0.5000, 0.5000, 0.5000) (multiplicity 1)
N (0.0000, 0.5000, 0.0000) (multiplicity 1)

Peak list (10 most intense, 15 to 90 degrees two-theta, in order of rising 2θ)
| d_spacing | 2θ/deg | intensity |
| --- | --- | --- |
| 3.189 | 27.98 | 16 |
| 3.092 | 28.88 | 41 |
| 2.776 | 32.25 | 100 |
| 2.595 | 34.57 | 35 |
| 2.590 | 34.63 | 17 |
| 2.425 | 37.08 | 25 |
| 2.241 | 40.24 | 16 |
| 1.861 | 48.93 | 40 |
| 1.546 | 59.83 | 17 |
| 1.477 | 62.92 | 22 |